[1]
Calculated PXRD pattern of TiRh2Pb2 for copper Kα, from a GGA-PBE-relaxed structure.
Intensities are scaled so that the largest is 1000.

Structural model:
Cell: 6.695 6.695 4.457 Å, 90.00 90.00 90.00°
Space group P4/mbm (No. 127)
Unique sites:
Ti 0.000 0.000 0.000
Rh 0.142 0.358 0.000
Pb 0.173 0.673 0.500

Main lines, sorted by position (2θ from 5° to 70°):
index  2θ (°)  I_rel
1 1 0  18.74  90
2 0 0  26.63  137
2 0 1  33.48  162
2 1 1  36.14  1000
0 0 2  40.48  194
3 1 0  42.71  186
4 1 0  56.70  73
3 3 0  58.49  83
3 1 2  60.30  133
4 1 1  60.70  180

---

[2]
Calculated PXRD pattern of Tl2RhPb for copper Kα, from a GGA-PBE-relaxed structure.
Intensities are scaled so that the largest is 1000.

Structural model:
Cell: 3.289 3.289 9.013 Å, 90.00 90.00 90.00°
Space group P4/mmm (No. 123)
Unique sites:
Tl 0.000 0.000 0.195
Rh 0.500 0.500 0.000
Pb 0.500 0.500 0.500

Main lines, sorted by position (2θ from 5° to 70°):
index  2θ (°)  I_rel
1 0 1  28.89  213
0 0 3  29.74  177
1 0 2  33.73  1000
1 1 0  38.71  456
1 0 3  40.67  94
1 1 3  49.56  180
2 0 0  55.90  159
1 1 4  56.89  88
1 0 5  58.38  138
2 1 2  66.91  282

---

[3]
Calculated PXRD pattern of Tl2Rh3Pb2 for copper Kα, from a GGA-PBE-relaxed structure.
Intensities are scaled so that the largest is 1000.

Structural model:
Cell: 4.637 4.703 13.544 Å, 90.00 90.00 90.00°
Space group Immm (No. 71)
Unique sites:
Tl 0.000 0.000 0.119
Rh 0.000 0.500 0.257
Rh 0.000 0.500 0.500
Pb 0.000 0.000 0.376

Main lines, sorted by position (2θ from 5° to 70°):
index  2θ (°)  I_rel
0 0 4  26.32  122
1 1 0  27.01  229
1 1 4  38.07  1000
0 2 0  38.28  256
2 0 0  38.84  240
0 0 8  54.17  88
2 2 0  55.68  174
0 2 8  68.27  88
1 3 4  69.07  177
3 1 4  69.82  171

---

[4]
Calculated PXRD pattern of TmRh4Pb3 for copper Kα, from a GGA-PBE-relaxed structure.
Intensities are scaled so that the largest is 1000.

Structural model:
Cell: 4.566 4.566 14.576 Å, 90.00 90.00 90.00°
Space group I4/mmm (No. 139)
Unique sites:
Tm 0.000 0.000 0.000
Rh 0.000 0.500 0.124
Pb 0.000 0.000 0.249
Pb 0.000 0.000 0.500

Main lines, sorted by position (2θ from 5° to 70°):
index  2θ (°)  I_rel
0 0 4  24.43  62
1 1 0  27.63  93
1 1 4  37.21  1000
2 0 0  39.47  425
2 0 4  46.96  49
0 0 8  50.06  107
2 2 0  57.05  146
1 1 8  58.13  27
2 2 4  62.97  21
2 0 8  65.55  192

---

[5]
Calculated PXRD pattern of Tm8Rh3Pb2 for copper Kα, from a GGA-PBE-relaxed structure.
Intensities are scaled so that the largest is 1000.

Structural model:
Cell: 9.694 14.945 4.811 Å, 90.00 90.00 90.00°
Space group Cmmm (No. 65)
Unique sites:
Tm 0.000 0.108 0.000
Tm 0.000 0.388 0.000
Tm 0.246 0.390 0.500
Rh 0.000 0.500 0.500
Rh 0.248 0.500 0.000
Pb 0.000 0.244 0.500

Main lines, sorted by position (2θ from 5° to 70°):
index  2θ (°)  I_rel
2 2 0  21.86  116
0 2 1  21.97  114
2 0 1  26.10  109
2 4 1  35.62  1000
4 0 0  37.10  246
0 0 2  37.38  242
0 8 0  48.75  86
4 0 2  53.68  171
6 4 1  65.91  167
2 4 3  66.30  193

---

[6]
Calculated PXRD pattern of VRhPb for copper Kα, from a GGA-PBE-relaxed structure.
Intensities are scaled so that the largest is 1000.

Structural model:
Cell: 12.239 3.227 5.582 Å, 90.00 90.00 90.00°
Space group Amm2 (No. 38)
Unique sites:
V 0.137 0.000 0.000
Rh 0.000 0.000 0.666
Rh 0.500 0.000 0.001
Pb 0.328 0.000 0.667

Main lines, sorted by position (2θ from 5° to 70°):
index  2θ (°)  I_rel
1 0 0  7.22  281
3 0 0  21.78  184
0 0 2  32.04  431
2 0 2  35.32  112
3 1 1  39.08  1000
6 0 0  44.41  126
6 0 2  55.81  186
0 2 0  57.12  214
3 2 0  61.87  74
0 2 2  67.01  54

---

[7]
Calculated PXRD pattern of YRh2Pb2 for copper Kα, from a GGA-PBE-relaxed structure.
Intensities are scaled so that the largest is 1000.

Structural model:
Cell: 4.8190 4.8190 5.6217 Å, 90.00 90.00 120.00°
Space group P-3m1 (No. 164)
Unique sites:
Y 0.0000 0.0000 0.0000
Rh 0.3333 0.6667 0.8355
Pb 0.3333 0.6667 0.3390

Main lines, sorted by position (2θ from 5° to 70°):
index  2θ (°)  I_rel
1 0 0  21.29  379
0 1 1  26.60  379
1 1 0  37.32  980
1 0 2  38.62  1000
2 0 1  46.42  90
0 2 2  54.79  364
1 2 1  61.01  82
1 1 3  62.82  74
3 0 0  67.31  175
2 1 2  68.17  380

---

[8]
Calculated PXRD pattern of Y2Rh3Pb2 for copper Kα, from a GGA-PBE-relaxed structure.
Intensities are scaled so that the largest is 1000.

Structural model:
Cell: 8.572 8.572 8.572 Å, 90.00 90.00 90.00°
Space group I2_13 (No. 199)
Unique sites:
Y 0.018 0.018 0.018
Rh 0.000 0.250 0.245
Pb 0.191 0.309 0.691

Main lines, sorted by position (2θ from 5° to 70°):
index  2θ (°)  I_rel
2 0 0  20.72  347
2 1 1  25.45  189
2 2 0  29.47  483
3 0 1  33.05  908
2 2 2  36.30  264
3 2 1  39.33  1000
4 0 0  42.17  289
3 3 0  44.86  200
3 3 2  49.90  266
4 3 1  54.59  432

---

[9]
Calculated PXRD pattern of Y4Rh2Pb for copper Kα, from a GGA-PBE-relaxed structure.
Intensities are scaled so that the largest is 1000.

Structural model:
Cell: 8.646 14.899 6.954 Å, 90.00 127.40 90.00°
Space group Cc (No. 9)
Unique sites:
Y 0.000 0.009 0.000
Y 0.030 0.421 0.369
Y 0.103 0.213 0.687
Y 0.254 0.207 0.308
Rh 0.306 0.075 0.021
Rh 0.390 0.331 0.702
Pb 0.177 0.382 0.998

Main lines, sorted by position (2θ from 5° to 70°):
index  2θ (°)  I_rel
1 3 -1  22.22  211
0 4 1  28.91  214
1 3 1  31.83  481
1 3 -2  32.12  443
3 1 -1  32.53  401
1 5 0  32.79  1000
0 2 2  34.63  294
2 4 -2  35.91  496
2 2 1  40.29  338
1 7 0  44.60  288

---

[10]
Calculated PXRD pattern of Ru4Pb5 for copper Kα, from a GGA-PBE-relaxed structure.
Intensities are scaled so that the largest is 1000.

Structural model:
Cell: 9.355 9.355 4.533 Å, 90.00 90.00 90.00°
Space group I4/mmm (No. 139)
Unique sites:
Ru 0.000 0.370 0.000
Pb 0.000 0.000 0.000
Pb 0.176 0.176 0.500

Main lines, sorted by position (2θ from 5° to 70°):
index  2θ (°)  I_rel
2 2 0  26.96  114
2 1 1  29.05  122
3 0 1  34.92  1000
0 0 2  39.77  191
3 3 0  40.93  297
2 2 2  48.71  47
5 2 1  56.75  121
3 3 2  58.39  211
6 0 0  59.27  87
3 0 3  69.08  141

---

[11]
Calculated PXRD pattern of Ru2Pb3 for copper Kα, from a GGA-PBE-relaxed structure.
Intensities are scaled so that the largest is 1000.

Structural model:
Cell: 10.261 15.944 5.470 Å, 90.00 90.00 90.00°
Space group Fdd2 (No. 43)
Unique sites:
Ru 0.031 0.347 0.000
Pb 0.000 0.000 0.732
Pb 0.084 0.312 0.498

Main lines, sorted by position (2θ from 5° to 70°):
index  2θ (°)  I_rel
2 4 0  28.35  839
3 1 1  31.35  1000
1 5 1  33.69  457
0 2 2  34.68  961
3 3 1  35.26  502
4 2 0  36.81  377
2 6 0  38.14  616
2 2 2  38.99  463
2 4 2  43.85  378
1 7 1  43.96  409

---

[12]
Calculated PXRD pattern of RuPb3 for copper Kα, from a GGA-PBE-relaxed structure.
Intensities are scaled so that the largest is 1000.

Structural model:
Cell: 6.626 14.492 4.465 Å, 90.00 90.00 90.00°
Space group Cmcm (No. 63)
Unique sites:
Ru 0.000 0.080 0.250
Pb 0.000 0.265 0.750
Pb 0.238 0.419 0.250

Main lines, sorted by position (2θ from 5° to 70°):
index  2θ (°)  I_rel
0 2 1  23.40  328
2 2 0  29.65  480
1 3 1  30.42  772
0 4 1  31.81  374
2 2 1  35.96  1000
0 6 0  37.23  487
0 0 2  40.40  427
2 4 1  42.14  432
0 6 2  56.10  302
2 8 1  61.97  278